For RbTl2SnSb2, a crystal structure in Alexandria, relaxed with PBE gives the simulated powder XRD pattern in this record (a wavelength of 1.5418 Å).
Peak positions follow from Bragg's law for the DFT cell and can differ from measured ones.

Peak list (8 most intense, 15° ≤ 2θ ≤ 90°, by angle)
index  2theta  intensity
1 0 2  27.04  22
1 2 1  27.45  86
0 2 2  28.29  20
1 1 2  28.67  85
1 3 0  33.12  100
2 0 0  34.08  50
2 1 3  48.27  29
1 4 3  53.45  30

Cell and atoms:
Unit cell a=5.2621 b=9.4675 c=8.4620 alpha=90.00 beta=90.00 gamma=90.00
Fractional coordinates of all 12 atoms:
1 Rb 0.0000 0.0773 0.0000
2 Rb 0.0000 0.9227 0.5000
3 Tl 0.0000 0.3276 0.3486
4 Tl 0.0000 0.6724 0.8486
5 Tl 0.5000 0.4349 0.0345
6 Tl 0.5000 0.5651 0.5345
7 Sn 0.5000 0.1907 0.6528
8 Sn 0.5000 0.8093 0.1528
9 Sb 0.0000 0.3596 0.7151
10 Sb 0.0000 0.6404 0.2151
11 Sb 0.5000 0.1443 0.2978
12 Sb 0.5000 0.8557 0.7978